1.
This entry pairs a crystal structure of Ca2Cd6Hg with its theoretical X-ray diffraction stick pattern. Radiation: copper Kα. Structure: a crystal structure in Alexandria, relaxed with PBE.

Crystal structure
Cell: 6.1200 6.1200 6.1200 Å, 93.15 93.15 93.15°
Fractional positions:
Ca: 0.1781 0.1781 0.1781
Ca: 0.8219 0.8219 0.8219
Cd: 0.0000 0.3325 0.6675
Cd: 0.0000 0.6675 0.3325
Cd: 0.3325 0.0000 0.6675
Cd: 0.3325 0.6675 0.0000
Cd: 0.6675 0.0000 0.3325
Cd: 0.6675 0.3325 0.0000
Hg: 0.5000 0.5000 0.5000

Largest 8 diffraction maxima, in order of falling intensity, 10 to 90 degrees two-theta:
d = 2.566 Å, 2θ 34.97, intensity 100
d = 2.667 Å, 2θ 33.60, intensity 93
d = 1.849 Å, 2θ 49.28, intensity 31
d = 1.500 Å, 2θ 61.84, intensity 30
d = 1.398 Å, 2θ 66.94, intensity 29
d = 6.100 Å, 2θ 14.52, intensity 21
d = 1.482 Å, 2θ 62.71, intensity 17
d = 2.033 Å, 2θ 44.56, intensity 17

***

2.
This entry pairs a crystal structure of Ca2CdInHg with its theoretical X-ray diffraction stick pattern. Radiation: copper Kα. Structure: a crystal structure in Alexandria, relaxed with PBE.

Crystal structure
Cell: 7.7113 4.9157 7.7286 Å, 90.00 106.97 90.00°
Fractional positions:
Ca: 0.0478 0.2500 0.1884
Ca: 0.3663 0.7500 0.6338
Ca: 0.6337 0.2500 0.3662
Ca: 0.9522 0.7500 0.8116
Cd: 0.3369 0.2500 0.9556
Cd: 0.6631 0.7500 0.0444
In: 0.3323 0.7500 0.1843
In: 0.6677 0.2500 0.8157
Hg: 0.0593 0.2500 0.6124
Hg: 0.9407 0.7500 0.3876

Largest 8 diffraction maxima, in order of falling intensity, 10 to 90 degrees two-theta:
d = 2.545 Å, 2θ 35.27, intensity 100
d = 2.458 Å, 2θ 36.55, intensity 74
d = 2.623 Å, 2θ 34.18, intensity 69
d = 6.204 Å, 2θ 14.28, intensity 54
d = 4.093 Å, 2θ 21.71, intensity 54
d = 3.770 Å, 2θ 23.60, intensity 47
d = 2.281 Å, 2θ 39.50, intensity 41
d = 2.992 Å, 2θ 29.86, intensity 35

***

3.
This entry pairs a crystal structure of Ca2Cd2InHg7 with its theoretical X-ray diffraction stick pattern. Radiation: copper Kα. Structure: a crystal structure in Alexandria, relaxed with PBE.

Crystal structure
Cell: 4.8218 4.8218 13.5489 Å, 90.22 90.22 88.77°
Fractional positions:
Ca: 0.0003 0.0003 0.1821
Ca: 0.9997 0.9997 0.8179
Cd: 0.4992 0.4992 0.1964
Cd: 0.5008 0.5008 0.8036
In: 0.0000 0.0000 0.5000
Hg: 0.0011 0.5013 0.3402
Hg: 0.2757 0.2757 0.9998
Hg: 0.4987 0.9989 0.6598
Hg: 0.5000 0.5000 0.5000
Hg: 0.5013 0.0011 0.3402
Hg: 0.7243 0.7243 0.0002
Hg: 0.9989 0.4987 0.6598

Largest 8 diffraction maxima, in order of falling intensity, 10 to 90 degrees two-theta:
d = 2.747 Å, 2θ 32.60, intensity 100
d = 2.732 Å, 2θ 32.78, intensity 99
d = 2.373 Å, 2θ 37.91, intensity 89
d = 2.390 Å, 2θ 37.64, intensity 71
d = 2.702 Å, 2θ 33.15, intensity 60
d = 3.019 Å, 2θ 29.59, intensity 55
d = 2.410 Å, 2θ 37.31, intensity 55
d = 2.258 Å, 2θ 39.92, intensity 51

***

4.
This entry pairs a crystal structure of CaCdIn2Hg2 with its theoretical X-ray diffraction stick pattern. Radiation: copper Kα. Structure: a crystal structure in Alexandria, relaxed with PBE.

Crystal structure
Cell: 7.0737 7.0737 7.0737 Å, 45.14 45.14 45.14°
Fractional positions:
Ca: 0.0000 0.0000 0.0000
Cd: 0.5000 0.5000 0.5000
In: 0.1948 0.1948 0.1948
In: 0.8052 0.8052 0.8052
Hg: 0.3492 0.3492 0.3492
Hg: 0.6508 0.6508 0.6508

Largest 8 diffraction maxima, in order of falling intensity, 10 to 90 degrees two-theta:
d = 2.715 Å, 2θ 32.99, intensity 100
d = 2.062 Å, 2θ 43.90, intensity 52
d = 2.353 Å, 2θ 38.25, intensity 39
d = 3.170 Å, 2θ 28.15, intensity 29
d = 4.565 Å, 2θ 19.44, intensity 29
d = 1.568 Å, 2θ 58.91, intensity 19
d = 1.488 Å, 2θ 62.43, intensity 19
d = 1.778 Å, 2θ 51.39, intensity 17

***

5.
This entry pairs a crystal structure of CaCd2InHg2 with its theoretical X-ray diffraction stick pattern. Radiation: copper Kα. Structure: a crystal structure in Alexandria, relaxed with PBE.

Crystal structure
Cell: 7.0384 7.0384 7.0384 Å, 45.28 45.28 45.28°
Fractional positions:
Ca: 0.0000 0.0000 0.0000
Cd: 0.1890 0.1890 0.1890
Cd: 0.8110 0.8110 0.8110
In: 0.5000 0.5000 0.5000
Hg: 0.3441 0.3441 0.3441
Hg: 0.6559 0.6559 0.6559

Largest 8 diffraction maxima, in order of falling intensity, 10 to 90 degrees two-theta:
d = 2.709 Å, 2θ 33.07, intensity 100
d = 2.055 Å, 2θ 44.07, intensity 67
d = 3.153 Å, 2θ 28.31, intensity 37
d = 2.342 Å, 2θ 38.44, intensity 28
d = 4.554 Å, 2θ 19.49, intensity 25
d = 1.401 Å, 2θ 66.76, intensity 19
d = 1.564 Å, 2θ 59.06, intensity 19
d = 1.483 Å, 2θ 62.66, intensity 13

***

6.
This entry pairs a crystal structure of Ca2MgCd4Hg2 with its theoretical X-ray diffraction stick pattern. Radiation: copper Kα. Structure: a crystal structure in Alexandria, relaxed with PBE.

Crystal structure
Cell: 6.3064 6.3175 7.4133 Å, 95.50 109.09 119.76°
Fractional positions:
Ca: 0.0806 0.2735 0.3566
Ca: 0.9194 0.7265 0.6434
Mg: 0.5000 0.0000 0.5000
Cd: 0.0326 0.3127 0.8602
Cd: 0.4505 0.1730 0.1400
Cd: 0.5495 0.8270 0.8600
Cd: 0.9674 0.6873 0.1398
Hg: 0.4668 0.3019 0.7674
Hg: 0.5332 0.6981 0.2326

Largest 8 diffraction maxima, in order of falling intensity, 10 to 90 degrees two-theta:
d = 4.926 Å, 2θ 18.01, intensity 100
d = 2.467 Å, 2θ 36.42, intensity 64
d = 2.459 Å, 2θ 36.54, intensity 64
d = 2.641 Å, 2θ 33.94, intensity 62
d = 6.650 Å, 2θ 13.31, intensity 59
d = 2.700 Å, 2θ 33.18, intensity 45
d = 2.661 Å, 2θ 33.68, intensity 44
d = 2.590 Å, 2θ 34.64, intensity 42